Starting from a crystal structure in Alexandria, relaxed with GGA-PBE, the PXRD pattern of Nd5HoAl2 was computed for Cu Kα, 1.54184 Å.

Largest 10 diffraction maxima, in order of rising 2θ, 15° ≤ 2θ ≤ 90°:
Position (°2θ)  I/Imax
23.11  19
25.96  57
29.24  17
32.85  59
32.98  100
42.44  15
47.23  21
54.77  15
57.05  31
58.85  41

Structure:
```
data_Nd5HoAl2
_chemical_formula_sum 'Nd10 Ho2 Al4'
_cell_length_a 5.432
_cell_length_b 5.432
_cell_length_c 20.075
_cell_angle_alpha 90.00
_cell_angle_beta 90.00
_cell_angle_gamma 120.00
_space_group_name_H-M_alt 'P 1'
_space_group_IT_number 1
_space_group_name_Hall 'P 1'
loop_
_atom_site_label
_atom_site_type_symbol
_atom_site_fract_x
_atom_site_fract_y
_atom_site_fract_z
_atom_site_occupancy
Nd1 Nd 0.000 0.000 0.155 1
Nd2 Nd 0.000 0.000 0.345 1
Nd3 Nd 0.000 0.000 0.655 1
Nd4 Nd 0.000 0.000 0.845 1
Nd5 Nd 0.333 0.667 0.055 1
Nd6 Nd 0.333 0.667 0.250 1
Nd7 Nd 0.333 0.667 0.445 1
Nd8 Nd 0.667 0.333 0.555 1
Nd9 Nd 0.667 0.333 0.750 1
Nd10 Nd 0.667 0.333 0.945 1
Ho1 Ho 0.333 0.667 0.750 1
Ho2 Ho 0.667 0.333 0.250 1
Al1 Al 0.333 0.667 0.602 1
Al2 Al 0.333 0.667 0.898 1
Al3 Al 0.667 0.333 0.102 1
Al4 Al 0.667 0.333 0.398 1
```

***

Starting from a crystal structure in Alexandria, relaxed with GGA-PBE, the PXRD pattern of Li12MgTl2 was computed for Cu Kα, 1.54184 Å.

Largest 10 diffraction maxima, in order of rising 2θ, 15° ≤ 2θ ≤ 90°:
Position (°2θ)  I/Imax
16.27  40
20.37  50
23.34  98
24.75  100
26.41  68
28.62  82
31.17  69
33.24  41
34.27  57
37.29  71

Structure:
```
data_Li12MgTl2
_chemical_formula_sum 'Li24 Mg2 Tl4'
_cell_length_a 5.390
_cell_length_b 5.390
_cell_length_c 21.796
_cell_angle_alpha 90.00
_cell_angle_beta 90.00
_cell_angle_gamma 90.00
_space_group_name_H-M_alt 'P 1'
_space_group_IT_number 1
_space_group_name_Hall 'P 1'
loop_
_atom_site_label
_atom_site_type_symbol
_atom_site_fract_x
_atom_site_fract_y
_atom_site_fract_z
_atom_site_occupancy
Li1 Li 0.000 0.000 0.112 1
Li2 Li 0.000 0.000 0.888 1
Li3 Li 0.000 0.500 0.112 1
Li4 Li 0.000 0.500 0.888 1
Li5 Li 0.068 0.568 0.443 1
Li6 Li 0.068 0.932 0.557 1
Li7 Li 0.250 0.250 0.219 1
Li8 Li 0.250 0.250 0.344 1
Li9 Li 0.250 0.250 0.656 1
Li10 Li 0.250 0.250 0.781 1
Li11 Li 0.432 0.568 0.557 1
Li12 Li 0.432 0.932 0.443 1
Li13 Li 0.500 0.000 0.112 1
Li14 Li 0.500 0.000 0.888 1
Li15 Li 0.500 0.500 0.112 1
Li16 Li 0.500 0.500 0.888 1
Li17 Li 0.568 0.068 0.557 1
Li18 Li 0.568 0.432 0.443 1
Li19 Li 0.750 0.750 0.219 1
Li20 Li 0.750 0.750 0.344 1
Li21 Li 0.750 0.750 0.656 1
Li22 Li 0.750 0.750 0.781 1
Li23 Li 0.932 0.068 0.443 1
Li24 Li 0.932 0.432 0.557 1
Mg1 Mg 0.250 0.750 0.000 1
Mg2 Mg 0.750 0.250 0.000 1
Tl1 Tl 0.250 0.750 0.287 1
Tl2 Tl 0.250 0.750 0.713 1
Tl3 Tl 0.750 0.250 0.287 1
Tl4 Tl 0.750 0.250 0.713 1
```

***

Starting from a crystal structure in Alexandria, relaxed with GGA-PBE, the PXRD pattern of Ca6Bi4P was computed for Cu Kα, 1.54184 Å.

Largest 10 diffraction maxima, in order of rising 2θ, 15° ≤ 2θ ≤ 90°:
Position (°2θ)  I/Imax
19.90  47
22.39  100
24.29  99
28.47  35
29.88  52
33.27  74
37.55  42
42.78  36
42.98  36
43.29  40

Structure:
```
data_Ca6Bi4P
_chemical_formula_sum 'Ca12 Bi8 P2'
_cell_length_a 8.923
_cell_length_b 8.923
_cell_length_c 8.923
_cell_angle_alpha 90.69
_cell_angle_beta 90.69
_cell_angle_gamma 90.69
_space_group_name_H-M_alt 'P 1'
_space_group_IT_number 1
_space_group_name_Hall 'P 1'
loop_
_atom_site_label
_atom_site_type_symbol
_atom_site_fract_x
_atom_site_fract_y
_atom_site_fract_z
_atom_site_occupancy
Ca1 Ca 0.064 0.926 0.699 1
Ca2 Ca 0.074 0.301 0.936 1
Ca3 Ca 0.199 0.426 0.564 1
Ca4 Ca 0.301 0.936 0.074 1
Ca5 Ca 0.426 0.564 0.199 1
Ca6 Ca 0.436 0.801 0.574 1
Ca7 Ca 0.564 0.199 0.426 1
Ca8 Ca 0.574 0.436 0.801 1
Ca9 Ca 0.699 0.064 0.926 1
Ca10 Ca 0.801 0.574 0.436 1
Ca11 Ca 0.926 0.699 0.064 1
Ca12 Ca 0.936 0.074 0.301 1
Bi1 Bi 0.128 0.750 0.372 1
Bi2 Bi 0.250 0.250 0.250 1
Bi3 Bi 0.250 0.628 0.872 1
Bi4 Bi 0.372 0.128 0.750 1
Bi5 Bi 0.628 0.872 0.250 1
Bi6 Bi 0.750 0.372 0.128 1
Bi7 Bi 0.750 0.750 0.750 1
Bi8 Bi 0.872 0.250 0.628 1
P1 P 0.000 0.000 0.000 1
P2 P 0.500 0.500 0.500 1
```

***

Starting from a crystal structure in Alexandria, relaxed with GGA-PBE, the PXRD pattern of HoErB was computed for Cu Kα, 1.54184 Å.

Largest 10 diffraction maxima, in order of rising 2θ, 15° ≤ 2θ ≤ 90°:
Position (°2θ)  I/Imax
28.85  100
31.44  28
32.37  15
37.04  27
39.15  24
43.27  22
57.08  17
57.15  11
60.82  11
62.30  11

Structure:
```
data_HoErB
_chemical_formula_sum 'Ho6 Er6 B6'
_cell_length_a 7.523
_cell_length_b 7.523
_cell_length_c 7.523
_cell_angle_alpha 94.68
_cell_angle_beta 94.68
_cell_angle_gamma 94.68
_space_group_name_H-M_alt 'P 1'
_space_group_IT_number 1
_space_group_name_Hall 'P 1'
loop_
_atom_site_label
_atom_site_type_symbol
_atom_site_fract_x
_atom_site_fract_y
_atom_site_fract_z
_atom_site_occupancy
Ho1 Ho 0.185 0.549 0.411 1
Ho2 Ho 0.411 0.185 0.549 1
Ho3 Ho 0.451 0.589 0.815 1
Ho4 Ho 0.549 0.411 0.185 1
Ho5 Ho 0.589 0.815 0.451 1
Ho6 Ho 0.815 0.451 0.589 1
Er1 Er 0.075 0.907 0.682 1
Er2 Er 0.093 0.318 0.925 1
Er3 Er 0.318 0.925 0.093 1
Er4 Er 0.682 0.075 0.907 1
Er5 Er 0.907 0.682 0.075 1
Er6 Er 0.925 0.093 0.318 1
B1 B 0.092 0.264 0.582 1
B2 B 0.264 0.582 0.092 1
B3 B 0.418 0.908 0.736 1
B4 B 0.582 0.092 0.264 1
B5 B 0.736 0.418 0.908 1
B6 B 0.908 0.736 0.418 1
```